# 1
Structure and theoretical X-ray diffraction stick pattern of Pm3AgGe (a crystal structure in Alexandria, relaxed with PBE; CuKα).
Lines closer than 0.1° are merged.

Crystal structure
```
data_Pm3AgGe
_cell_length_a 16.815
_cell_length_b 11.728
_cell_length_c 6.081
_cell_angle_alpha 90.00
_cell_angle_beta 110.78
_cell_angle_gamma 90.00
_space_group_name_H-M_alt 'C 1 2/c 1'
_space_group_IT_number 15
loop_
_space_group_symop_operation_xyz
'x,y,z'
'-x,-y,-z'
'-x,y,-z+1/2'
'x,-y,z+1/2'
'x+1/2,y+1/2,z'
'-x+1/2,-y+1/2,-z'
'-x+1/2,y+1/2,-z+1/2'
'x+1/2,-y+1/2,z+1/2'
loop_
_atom_site_label
_atom_site_type_symbol
_atom_site_fract_x
_atom_site_fract_y
_atom_site_fract_z
Pm1 Pm 0.102 0.245 0.456
Pm2 Pm 0.104 0.054 0.935
Pm3 Pm 0.189 0.383 0.086
Ag1 Ag 0.000 0.293 0.750
Ag2 Ag 0.000 0.470 0.250
Ge1 Ge 0.243 0.121 0.348
```

Principal peaks in the range 10° ≤ 2θ ≤ 90°, in order of rising 2θ:
d = 3.288 Å, 27.12 deg, intensity 28, (1 3 -1)
d = 3.187 Å, 28.00 deg, intensity 27, (3 1 1)
d = 3.038 Å, 29.41 deg, intensity 100, (5 1 0)
d = 3.029 Å, 29.49 deg, intensity 22, (3 3 -1)
d = 2.829 Å, 31.63 deg, intensity 74, (4 0 -2)
d = 2.747 Å, 32.60 deg, intensity 40, (2 4 0)
d = 2.604 Å, 34.44 deg, intensity 31, (2 4 -1)
d = 2.574 Å, 34.86 deg, intensity 43, (1 1 2)
d = 2.527 Å, 35.52 deg, intensity 53, (3 3 1)
d = 2.517 Å, 35.67 deg, intensity 40, (5 3 -1)
d = 2.352 Å, 38.27 deg, intensity 37, (7 1 -1)
d = 1.756 Å, 52.08 deg, intensity 18, (1 3 -3)



# 2
Structure and theoretical X-ray diffraction stick pattern of Pm5AgGe3 (a crystal structure in Alexandria, relaxed with PBE; CuKα).
Lines closer than 0.1° are merged.

Crystal structure
```
data_Pm5AgGe3
_cell_length_a 9.1104
_cell_length_b 9.1104
_cell_length_c 6.5400
_cell_angle_alpha 90.00
_cell_angle_beta 90.00
_cell_angle_gamma 120.00
_space_group_name_H-M_alt 'P 63/m c m'
_space_group_IT_number 193
_space_group_name_Hall '-P 6c 2'
loop_
_atom_site_label
_atom_site_type_symbol
_atom_site_fract_x
_atom_site_fract_y
_atom_site_fract_z
Pm1 Pm 0.0000 0.2814 0.2500
Pm2 Pm 0.3333 0.6667 0.0000
Ag1 Ag 0.0000 0.0000 0.0000
Ge1 Ge 0.0000 0.3750 0.7500
```

Principal peaks in the range 10° ≤ 2θ ≤ 90°, in order of rising 2θ:
d = 3.738 Å, 23.80 deg, intensity 13, (1 1 1)
d = 2.713 Å, 33.01 deg, intensity 35, (2 1 1)
d = 2.656 Å, 33.74 deg, intensity 100, (1 1 2)
d = 2.630 Å, 34.09 deg, intensity 79, (3 0 0)
d = 1.869 Å, 48.72 deg, intensity 30, (2 2 2)
d = 1.760 Å, 51.96 deg, intensity 10, (2 1 3)
d = 1.744 Å, 52.45 deg, intensity 10, (3 2 1)
d = 1.635 Å, 56.26 deg, intensity 9, (0 0 4)
d = 1.523 Å, 60.80 deg, intensity 20, (4 1 2)
d = 1.389 Å, 67.45 deg, intensity 21, (3 0 4)
d = 1.385 Å, 67.65 deg, intensity 10, (5 1 1)
d = 1.178 Å, 81.71 deg, intensity 8, (5 2 2)



What is the formula in the first record? Pm3AgGe